Record 1
The following is a theoretical PXRD pattern of ScCu7Pd12. It was derived from a structure optimized by DFT (GGA-PBE), using copper Kα.
No peak broadening, texture or thermal motion is included.

Largest 6 diffraction maxima, most intense first, 2θ = 5–70°:
Position (°2θ)	I_rel	(hkl)
40.45	100	3 1 2
39.58	57	0 2 4
30.27	37	3 0 0
44.32	28	0 4 2
50.62	25	1 3 4
35.30	15	1 0 4

Structure:
Lattice parameters (Å, degrees): 10.2297 10.2297 10.6173 90.00 90.00 120.00
Space group R-3m (No. 166, hexagonal axes)
Unique sites:
Sc1 0.0000 0.0000 0.0000
Cu1 0.0000 0.0000 0.5000
Cu2 0.1021 0.2043 0.8279
Pd1 0.0248 0.5124 0.7342
Pd2 0.0960 0.1919 0.3385



Record 2
The following is a theoretical PXRD pattern of Sc4CuPd7. It was derived from a structure optimized by DFT (GGA-PBE), using copper Kα.
No peak broadening, texture or thermal motion is included.

Largest 6 diffraction maxima, most intense first, 2θ = 5–70°:
Position (°2θ)	I_rel	(hkl)
36.87	100	0 2 0
39.73	89	3 1 1
25.90	86	1 1 -2
37.05	66	2 0 -4
35.21	61	4 0 -1
41.21	55	1 1 3

Structure:
Lattice parameters (Å, degrees): 10.4198 4.8760 9.7103 90.00 117.15 90.00
Space group C2/m (No. 12)
Unique sites:
Sc1 0.0891 0.0000 0.2846
Sc2 0.2120 0.5000 0.1425
Cu1 0.0000 0.5000 0.5000
Pd1 0.0000 0.0000 0.5000
Pd2 0.0793 0.5000 0.8047
Pd3 0.1320 0.0000 0.0146
Pd4 0.2051 0.5000 0.4120



Record 3
The following is a theoretical PXRD pattern of Cu3PdSe6. It was derived from a structure optimized by DFT (GGA-PBE), using copper Kα.
No peak broadening, texture or thermal motion is included.

Largest 6 diffraction maxima, most intense first, 2θ = 5–70°:
Position (°2θ)	I_rel	(hkl)
44.20	100	2 4 1
28.13	56	0 2 1
36.58	41	4 0 0
28.40	37	3 1 0
24.19	31	2 2 0
46.99	28	0 0 2

Structure:
Lattice parameters (Å, degrees): 9.8320 11.0973 3.8672 90.00 90.00 90.00
Space group Cmmm (No. 65)
Unique sites:
Cu1 0.0000 0.0000 0.0000
Cu2 0.2500 0.2500 0.5000
Pd1 0.0000 0.5000 0.0000
Se1 0.0000 0.3517 0.5000
Se2 0.2000 0.1167 0.0000



Record 4
The following is a theoretical PXRD pattern of CuPdSe. It was derived from a structure optimized by DFT (GGA-PBE), using copper Kα.
No peak broadening, texture or thermal motion is included.

Largest 6 diffraction maxima, most intense first, 2θ = 5–70°:
Position (°2θ)	I_rel	(hkl)
42.74	100	1 1 2
28.85	50	1 0 1
45.12	36	0 1 3
42.30	32	0 2 0
52.01	19	1 2 1
33.25	18	1 1 0

Structure:
Lattice parameters (Å, degrees): 3.4720 4.2732 6.8314 90.00 90.00 90.00
Space group Imm2 (No. 44)
Unique sites:
Cu1 0.0000 0.0000 0.0000
Pd1 0.0000 0.0000 0.5895
Se1 0.0000 0.5000 0.8002



Record 5
The following is a theoretical PXRD pattern of Cu2PdSe3. It was derived from a structure optimized by DFT (GGA-PBE), using copper Kα.
No peak broadening, texture or thermal motion is included.

Largest 6 diffraction maxima, most intense first, 2θ = 5–70°:
Position (°2θ)	I_rel	(hkl)
47.88	100	1 1 -3
31.15	91	3 1 1
27.23	88	3 1 0
47.25	64	0 2 0
50.74	56	9 1 -1
44.53	53	7 1 1

Structure:
Lattice parameters (Å, degrees): 18.7878 3.8476 6.5557 90.00 95.29 90.00
Space group C2/m (No. 12)
Unique sites:
Cu1 0.0419 0.0000 0.1666
Cu2 0.2103 0.5000 0.4274
Pd1 0.1524 0.5000 0.0313
Se1 0.0823 0.5000 0.3643
Se2 0.0880 0.0000 0.8327
Se3 0.2469 0.0000 0.2132



Record 6
The following is a theoretical PXRD pattern of CuSiPd4. It was derived from a structure optimized by DFT (GGA-PBE), using copper Kα.
No peak broadening, texture or thermal motion is included.

Largest 6 diffraction maxima, most intense first, 2θ = 5–70°:
Position (°2θ)	I_rel	(hkl)
39.67	100	1 1 4
43.40	28	2 1 3
38.82	26	3 0 1
40.86	23	0 1 5
40.54	23	2 1 1
42.85	21	0 0 8

Structure:
Lattice parameters (Å, degrees): 7.0255 2.9188 16.8860 90.00 90.00 90.00
Space group Pnma (No. 62)
Unique sites:
Cu1 0.2064 0.2500 0.1862
Si1 0.2499 0.2500 0.9536
Pd1 0.0104 0.7500 0.2852
Pd2 0.0295 0.7500 0.5719
Pd3 0.1084 0.7500 0.0585
Pd4 0.1685 0.7500 0.8428



Record 7
The following is a theoretical PXRD pattern of CuSi2Pd3. It was derived from a structure optimized by DFT (GGA-PBE), using copper Kα.
No peak broadening, texture or thermal motion is included.

Largest 6 diffraction maxima, most intense first, 2θ = 5–70°:
Position (°2θ)	I_rel	(hkl)
36.81	100	0 2 2
37.94	90	2 2 0
49.64	77	2 0 2
37.32	75	1 4 1
28.01	49	1 2 1
42.47	41	0 6 0

Structure:
Lattice parameters (Å, degrees): 5.1084 12.7706 5.2856 90.00 90.00 90.00
Space group Ibam (No. 72)
Unique sites:
Cu1 0.0000 0.0000 0.2500
Si1 0.2451 0.3686 0.0000
Pd1 0.0000 0.5000 0.2500
Pd2 0.2317 0.1835 0.0000



Record 8
The following is a theoretical PXRD pattern of Cu2SiPd3. It was derived from a structure optimized by DFT (GGA-PBE), using copper Kα.
No peak broadening, texture or thermal motion is included.

Largest 6 diffraction maxima, most intense first, 2θ = 5–70°:
Position (°2θ)	I_rel	(hkl)
41.59	100	1 3 2
44.03	22	0 6 0
44.58	21	2 0 0
64.45	13	2 6 0
30.93	12	1 3 0
55.91	9	0 0 4

Structure:
Lattice parameters (Å, degrees): 4.0650 12.3398 6.5777 90.00 90.00 90.00
Space group Cmmm (No. 65)
Unique sites:
Cu1 0.0000 0.0000 0.0000
Cu2 0.0000 0.0000 0.5000
Cu3 0.0000 0.3307 0.0000
Si1 0.0000 0.3472 0.5000
Pd1 0.0000 0.1716 0.2746
Pd2 0.0000 0.5000 0.2504



Record 9
The following is a theoretical PXRD pattern of Tb3Cu2Si6Pd. It was derived from a structure optimized by DFT (GGA-PBE), using copper Kα.
No peak broadening, texture or thermal motion is included.

Largest 6 diffraction maxima, most intense first, 2θ = 5–70°:
Position (°2θ)	I_rel	(hkl)
31.06	100	1 1 0
29.04	60	0 1 2
38.86	48	1 1 2
43.04	35	2 0 2
37.88	27	0 2 1
21.14	21	1 0 1

Structure:
Lattice parameters (Å, degrees): 5.7586 5.7586 7.8090 90.00 90.00 120.00
Space group P-3m1 (No. 164)
Unique sites:
Tb1 0.0000 0.0000 0.0000
Tb2 0.3333 0.6667 0.6230
Cu1 0.3333 0.6667 0.0200
Si1 0.1922 0.3845 0.2806
Pd1 0.0000 0.0000 0.5000



Record 10
The following is a theoretical PXRD pattern of SmCu5Pd7. It was derived from a structure optimized by DFT (GGA-PBE), using copper Kα.
No peak broadening, texture or thermal motion is included.

Largest 6 diffraction maxima, most intense first, 2θ = 5–70°:
Position (°2θ)	I_rel	(hkl)
40.97	100	1 3 2
41.12	87	0 4 0
46.25	86	2 2 2
40.76	76	1 2 3
35.45	62	1 3 0
40.39	48	0 0 4

Structure:
Lattice parameters (Å, degrees): 5.0371 8.7875 8.9323 90.00 90.00 90.00
Space group Imm2 (No. 44)
Unique sites:
Sm1 0.0000 0.0000 0.0000
Cu1 0.0000 0.5000 0.2649
Cu2 0.2494 0.2536 0.2459
Pd1 0.0000 0.0000 0.3460
Pd2 0.0000 0.0000 0.6508
Pd3 0.0000 0.2937 0.4926
Pd4 0.0000 0.3448 0.9984
Pd5 0.0000 0.5000 0.7217



Record 11
The following is a theoretical PXRD pattern of Sm6CuPd2. It was derived from a structure optimized by DFT (GGA-PBE), using copper Kα.
No peak broadening, texture or thermal motion is included.

Largest 6 diffraction maxima, most intense first, 2θ = 5–70°:
Position (°2θ)	I_rel	(hkl)
28.95	100	1 0 2
30.65	96	2 1 -3
30.04	84	0 2 2
29.19	63	1 2 -2
32.60	62	1 2 1
36.04	53	0 2 3

Structure:
Lattice parameters (Å, degrees): 6.7767 7.3333 12.0385 90.00 122.12 90.00
Space group P2_1/c (No. 14)
Unique sites:
Sm1 0.0828 0.0379 0.2447
Sm2 0.2175 0.6803 0.0708
Sm3 0.3814 0.1683 0.0654
Cu1 0.5000 0.0000 0.5000
Pd1 0.3194 0.1220 0.7532



Record 12
The following is a theoretical PXRD pattern of Sm2CuPd2. It was derived from a structure optimized by DFT (GGA-PBE), using copper Kα.
No peak broadening, texture or thermal motion is included.

Largest 6 diffraction maxima, most intense first, 2θ = 5–70°:
Position (°2θ)	I_rel	(hkl)
35.23	100	2 1 2
37.82	30	3 1 0
33.08	21	2 0 2
55.61	15	4 1 2
61.48	14	3 1 4
46.57	14	0 0 4

Structure:
Lattice parameters (Å, degrees): 7.5229 7.5229 7.8012 90.00 90.00 90.00
Space group P4/mnc (No. 128)
Unique sites:
Sm1 0.1727 0.3251 0.0000
Cu1 0.0000 0.0000 0.2404
Pd1 0.1317 0.6317 0.2500



Record 13
The following is a theoretical PXRD pattern of Sm4Cu2Pd. It was derived from a structure optimized by DFT (GGA-PBE), using copper Kα.
No peak broadening, texture or thermal motion is included.

Largest 6 diffraction maxima, most intense first, 2θ = 5–70°:
Position (°2θ)	I_rel	(hkl)
35.93	100	1 1 0
64.57	35	3 0 0
25.19	22	1 0 4
51.72	17	2 0 8
58.37	9	2 1 4
44.38	6	0 2 4

Structure:
Lattice parameters (Å, degrees): 4.9969 4.9969 24.5172 90.00 90.00 120.00
Space group R-3m (No. 166, hexagonal axes)
Unique sites:
Sm1 0.0000 0.0000 0.1238
Sm2 0.0000 0.0000 0.3738
Cu1 0.0000 0.0000 0.2526
Pd1 0.0000 0.0000 0.5000